This entry pairs a crystal structure of Pb2Br5N with its theoretical XRD peak list. Radiation: λ = 1.5418 Å (Cu Kα). Structure: DFT lattice parameters and positions (PBE).

Cell and atoms:
Cell: 8.461 8.461 14.865 Å, 90.00 90.00 90.00°
Space group I4/mcm (No. 140)
Unique sites:
Pb 0.171 0.329 0.000 [8 per cell]
Br 0.000 0.000 0.000 [4 per cell]
Br 0.141 0.359 0.372 [16 per cell]
N 0.000 0.000 0.250 [4 per cell]

Peak list (10 most intense, 5 to 70 degrees two-theta, low angle first)
2θ = 11.91°, intensity 90
2θ = 24.25°, intensity 19
2θ = 29.71°, intensity 100
2θ = 33.49°, intensity 34
2θ = 35.67°, intensity 17
2θ = 38.51°, intensity 44
2θ = 47.99°, intensity 19
2θ = 54.33°, intensity 13
2θ = 60.68°, intensity 12
2θ = 61.98°, intensity 15

This entry pairs a crystal structure of PdBr3N2 with its theoretical XRD peak list. Radiation: λ = 1.5418 Å (Cu Kα). Structure: DFT lattice parameters and positions (PBE).

Cell and atoms:
Cell: 3.867 7.889 11.086 Å, 80.39 87.34 89.37°
Space group P-1 (No. 2)
Unique sites:
Pd 0.201 0.256 0.185 [2 per cell]
Br 0.121 0.759 0.436 [2 per cell]
Br 0.151 0.947 0.162 [2 per cell]
Br 0.436 0.478 0.784 [2 per cell]
N 0.300 0.709 0.816 [2 per cell]
N 0.390 0.805 0.287 [2 per cell]

Peak list (10 most intense, 5 to 70 degrees two-theta, low angle first)
2θ = 16.24°, intensity 89
2θ = 21.39°, intensity 57
2θ = 22.94°, intensity 36
2θ = 24.09°, intensity 43
2θ = 24.46°, intensity 100
2θ = 25.75°, intensity 36
2θ = 26.80°, intensity 43
2θ = 28.90°, intensity 31
2θ = 35.78°, intensity 34
2θ = 41.35°, intensity 46

This entry pairs a crystal structure of Pm4Br2N with its theoretical XRD peak list. Radiation: λ = 1.5418 Å (Cu Kα). Structure: DFT lattice parameters and positions (PBE).

Cell and atoms:
Cell: 4.766 4.766 18.721 Å, 90.00 90.00 90.00°
Space group I4/mmm (No. 139)
Unique sites:
Pm 0.000 0.000 0.140 [4 per cell]
Pm 0.000 0.500 0.000 [4 per cell]
Br 0.000 0.000 0.302 [4 per cell]
N 0.000 0.000 0.000 [2 per cell]

Peak list (10 most intense, 5 to 70 degrees two-theta, low angle first)
2θ = 19.22°, intensity 26
2θ = 28.14°, intensity 100
2θ = 28.61°, intensity 31
2θ = 32.75°, intensity 80
2θ = 37.75°, intensity 61
2θ = 38.60°, intensity 36
2θ = 48.04°, intensity 30
2θ = 55.10°, intensity 25
2θ = 62.41°, intensity 21
2θ = 65.01°, intensity 23

This entry pairs a crystal structure of Pr4Br2N with its theoretical XRD peak list. Radiation: λ = 1.5418 Å (Cu Kα). Structure: DFT lattice parameters and positions (PBE).

Cell and atoms:
Cell: 4.877 4.877 18.755 Å, 90.00 90.00 90.00°
Space group I4/mmm (No. 139)
Unique sites:
Pr 0.000 0.000 0.140 [4 per cell]
Pr 0.000 0.500 0.000 [4 per cell]
Br 0.000 0.000 0.305 [4 per cell]
N 0.000 0.000 0.000 [2 per cell]

Peak list (10 most intense, 5 to 70 degrees two-theta, low angle first)
2θ = 18.80°, intensity 24
2θ = 27.56°, intensity 100
2θ = 28.56°, intensity 32
2θ = 32.22°, intensity 83
2θ = 36.86°, intensity 63
2θ = 38.34°, intensity 39
2θ = 47.27°, intensity 32
2θ = 53.11°, intensity 22
2θ = 54.24°, intensity 33
2θ = 63.50°, intensity 24

Repeat the third record exactly.
This entry pairs a crystal structure of Pm4Br2N with its theoretical XRD peak list. Radiation: λ = 1.5418 Å (Cu Kα). Structure: DFT lattice parameters and positions (PBE).

Cell and atoms:
Cell: 4.766 4.766 18.721 Å, 90.00 90.00 90.00°
Space group I4/mmm (No. 139)
Unique sites:
Pm 0.000 0.000 0.140 [4 per cell]
Pm 0.000 0.500 0.000 [4 per cell]
Br 0.000 0.000 0.302 [4 per cell]
N 0.000 0.000 0.000 [2 per cell]

Peak list (10 most intense, 5 to 70 degrees two-theta, low angle first)
2θ = 19.22°, intensity 26
2θ = 28.14°, intensity 100
2θ = 28.61°, intensity 31
2θ = 32.75°, intensity 80
2θ = 37.75°, intensity 61
2θ = 38.60°, intensity 36
2θ = 48.04°, intensity 30
2θ = 55.10°, intensity 25
2θ = 62.41°, intensity 21
2θ = 65.01°, intensity 23